(1)
Eu2FeSbO7: simulated powder X-ray diffraction pattern (Cu Ka), based on a crystal structure in the Materials Project, relaxed with GGA+U.

Most intense lines, 15 to 90 degrees two-theta, by intensity:
2θ (°)	I (rel.)
29.4	1000
29.7	968
34.3	639
49.2	611
58.2	283
58.8	275
82.4	187
48.8	158
49.7	147
58.6	140

Lattice parameters (Å, degrees): 7.401 7.401 7.401 120.55 119.49 89.97
Fractional coordinates of all 22 atoms:
Eu  0.000  0.000  0.000
Eu  0.500  0.000  0.000
Eu  0.500  0.000  0.500
Eu  0.500  0.500  0.500
Fe  0.000  0.000  0.500
Fe  0.000  0.500  0.000
Sb  0.000  0.500  0.500
Sb  0.500  0.500  0.000
O  0.079  0.829  0.250
O  0.080  0.423  0.254
O  0.080  0.826  0.657
O  0.328  0.578  0.750
O  0.331  0.174  0.754
O  0.331  0.577  0.157
O  0.375  0.125  0.250
O  0.625  0.875  0.750
O  0.669  0.423  0.843
O  0.669  0.826  0.246
O  0.672  0.422  0.250
O  0.920  0.174  0.343
O  0.920  0.577  0.746
O  0.921  0.171  0.750

***

(2)
SrEuFeSbO6: simulated powder X-ray diffraction pattern (Cu Ka), based on a crystal structure in the Materials Project, relaxed with GGA+U.

Most intense lines, 15 to 90 degrees two-theta, by intensity:
2θ (°)	I (rel.)
31.5	1000
56.1	390
45.1	320
65.8	192
74.7	169
19.1	117
37.1	68
83.3	64
38.8	63
49.5	30

Lattice parameters (Å, degrees): 5.680 5.680 5.680 60.00 60.00 60.00
Fractional coordinates of all 10 atoms:
Sr  0.000  0.000  0.000
Eu  0.500  0.500  0.500
Fe  0.750  0.750  0.750
Sb  0.250  0.250  0.250
O  0.001  0.001  0.499
O  0.001  0.499  0.001
O  0.001  0.499  0.499
O  0.499  0.001  0.001
O  0.499  0.001  0.499
O  0.499  0.499  0.001

***

(3)
SrTbEuFeO6: simulated powder X-ray diffraction pattern (Cu Ka), based on a crystal structure in the Materials Project, relaxed with GGA+U.

Most intense lines, 15 to 90 degrees two-theta, by intensity:
2θ (°)	I (rel.)
30.9	1000
54.9	394
44.2	307
89.6	215
64.4	186
73.1	175
18.8	138
36.4	103
81.4	62
48.5	55

Lattice parameters (Å, degrees): 5.790 5.790 5.790 60.00 60.00 60.00
Fractional coordinates of all 10 atoms:
Sr  0.000  0.000  0.000
Tb  0.250  0.250  0.250
Eu  0.500  0.500  0.500
Fe  0.750  0.750  0.750
O  0.517  0.517  0.983
O  0.517  0.983  0.517
O  0.517  0.983  0.983
O  0.983  0.517  0.517
O  0.983  0.517  0.983
O  0.983  0.983  0.517

***

(4)
SrEuYFeO6: simulated powder X-ray diffraction pattern (Cu Ka), based on a crystal structure in the Materials Project, relaxed with GGA+U.

Most intense lines, 15 to 90 degrees two-theta, by intensity:
2θ (°)	I (rel.)
31.3	1000
55.7	385
44.8	328
65.3	194
74.1	171
38.6	103
19.0	76
82.7	64
36.9	54
78.4	30

Lattice parameters (Å, degrees): 5.719 5.719 5.719 60.00 60.00 60.00
Fractional coordinates of all 10 atoms:
Sr  0.000  0.000  0.000
Eu  0.500  0.500  0.500
Y  0.750  0.750  0.750
Fe  0.250  0.250  0.250
O  0.016  0.016  0.484
O  0.016  0.484  0.016
O  0.016  0.484  0.484
O  0.484  0.016  0.016
O  0.484  0.016  0.484
O  0.484  0.484  0.016

***

(5)
SrEuZrFeO6: simulated powder X-ray diffraction pattern (Cu Ka), based on a crystal structure in the Materials Project, relaxed with GGA+U.

Most intense lines, 15 to 90 degrees two-theta, by intensity:
2θ (°)	I (rel.)
31.2	1000
55.6	390
44.7	332
65.1	198
74.0	169
38.5	101
19.0	84
82.5	66
36.8	54
78.3	30

Lattice parameters (Å, degrees): 5.730 5.730 5.730 60.00 60.00 60.00
Fractional coordinates of all 10 atoms:
Sr  0.000  0.000  0.000
Eu  0.500  0.500  0.500
Zr  0.250  0.250  0.250
Fe  0.750  0.750  0.750
O  0.506  0.506  0.994
O  0.506  0.994  0.506
O  0.506  0.994  0.994
O  0.994  0.506  0.506
O  0.994  0.506  0.994
O  0.994  0.994  0.506

***

(6)
Eu2MnGe4O12: simulated powder X-ray diffraction pattern (Cu Ka), based on a crystal structure in the Materials Project, relaxed with GGA+U.

Most intense lines, 15 to 90 degrees two-theta, by intensity:
2θ (°)	I (rel.)
30.6	1000
21.6	334
51.1	258
35.3	238
60.5	228
60.9	136
27.7	131
49.2	115
45.8	103
35.7	99

Lattice parameters (Å, degrees): 10.165 10.165 5.034 90.00 90.00 90.15
Fractional coordinates of all 38 atoms:
Eu  0.000  0.500  0.000
Eu  0.250  0.250  0.000
Eu  0.500  0.000  0.000
Eu  0.750  0.750  0.000
Mn  0.000  0.000  0.000
Mn  0.500  0.500  0.000
Ge  0.027  0.756  0.508
Ge  0.244  0.973  0.508
Ge  0.256  0.527  0.508
Ge  0.473  0.744  0.508
Ge  0.527  0.256  0.492
Ge  0.744  0.473  0.492
Ge  0.756  0.027  0.492
Ge  0.973  0.244  0.492
O  0.050  0.159  0.228
O  0.065  0.324  0.736
O  0.130  0.870  0.328
O  0.132  0.632  0.665
O  0.159  0.050  0.772
O  0.176  0.435  0.264
O  0.324  0.065  0.264
O  0.341  0.450  0.772
O  0.368  0.868  0.665
O  0.370  0.630  0.328
O  0.435  0.176  0.736
O  0.450  0.341  0.228
O  0.550  0.659  0.772
O  0.565  0.824  0.264
O  0.630  0.370  0.672
O  0.632  0.132  0.335
O  0.659  0.550  0.228
O  0.676  0.935  0.736
O  0.824  0.565  0.736
O  0.841  0.950  0.228
O  0.868  0.368  0.335
O  0.870  0.130  0.672
O  0.935  0.676  0.264
O  0.950  0.841  0.772

***

(7)
Eu3VGeO9: simulated powder X-ray diffraction pattern (Cu Ka), based on a crystal structure in the Materials Project, relaxed with GGA+U.

Most intense lines, 15 to 90 degrees two-theta, by intensity:
2θ (°)	I (rel.)
29.1	1000
28.4	812
29.7	621
28.0	460
30.6	397
26.3	386
36.0	244
20.0	241
44.6	196
50.7	195

Lattice parameters (Å, degrees): 7.048 12.570 9.901 90.00 115.13 90.00
Fractional coordinates of all 56 atoms:
Eu  0.047  0.132  0.373
Eu  0.047  0.368  0.873
Eu  0.371  0.609  0.877
Eu  0.371  0.891  0.377
Eu  0.389  0.134  0.151
Eu  0.389  0.366  0.651
Eu  0.611  0.634  0.349
Eu  0.611  0.866  0.849
Eu  0.629  0.109  0.623
Eu  0.629  0.391  0.123
Eu  0.953  0.632  0.127
Eu  0.953  0.868  0.627
V  0.219  0.664  0.522
V  0.219  0.836  0.022
V  0.781  0.164  0.978
V  0.781  0.336  0.478
Ge  0.193  0.102  0.737
Ge  0.193  0.398  0.237
Ge  0.807  0.602  0.763
Ge  0.807  0.898  0.263
O  0.028  0.160  0.127
O  0.028  0.340  0.627
O  0.067  0.575  0.909
O  0.067  0.925  0.409
O  0.176  0.175  0.882
O  0.176  0.325  0.382
O  0.242  0.746  0.162
O  0.242  0.754  0.662
O  0.284  0.531  0.276
O  0.284  0.969  0.776
O  0.289  0.546  0.623
O  0.289  0.954  0.123
O  0.314  0.169  0.634
O  0.314  0.331  0.134
O  0.380  0.077  0.383
O  0.380  0.423  0.883
O  0.398  0.712  0.459
O  0.398  0.788  0.959
O  0.602  0.212  0.041
O  0.602  0.288  0.541
O  0.620  0.577  0.117
O  0.620  0.923  0.617
O  0.686  0.669  0.866
O  0.686  0.831  0.366
O  0.711  0.046  0.877
O  0.711  0.454  0.377
O  0.716  0.031  0.224
O  0.716  0.469  0.724
O  0.758  0.246  0.338
O  0.758  0.254  0.838
O  0.824  0.675  0.618
O  0.824  0.825  0.118
O  0.933  0.075  0.591
O  0.933  0.425  0.091
O  0.972  0.660  0.373
O  0.972  0.840  0.873

***

(8)
Eu2Mo3H2Se2O17: simulated powder X-ray diffraction pattern (Cu Ka), based on a crystal structure in the Materials Project, relaxed with GGA+U.

Most intense lines, 15 to 90 degrees two-theta, by intensity:
2θ (°)	I (rel.)
25.7	1000
27.5	705
24.6	622
18.4	569
17.1	550
31.0	536
24.8	520
16.0	493
31.8	482
47.8	455

Lattice parameters (Å, degrees): 7.041 7.400 14.725 90.00 100.25 90.00
Fractional coordinates of all 52 atoms:
Eu  0.117  0.250  0.049
Eu  0.250  0.750  0.383
Eu  0.750  0.250  0.617
Eu  0.883  0.750  0.951
Mo  0.286  0.005  0.641
Mo  0.286  0.495  0.641
Mo  0.371  0.750  0.830
Mo  0.629  0.250  0.170
Mo  0.714  0.505  0.359
Mo  0.714  0.995  0.359
H  0.248  0.145  0.865
H  0.248  0.355  0.865
H  0.752  0.645  0.135
H  0.752  0.855  0.135
Se  0.261  0.250  0.313
Se  0.282  0.750  0.117
Se  0.718  0.250  0.883
Se  0.739  0.750  0.687
O  0.050  0.072  0.650
O  0.050  0.428  0.650
O  0.137  0.750  0.860
O  0.157  0.575  0.055
O  0.157  0.925  0.055
O  0.191  0.250  0.891
O  0.214  0.750  0.221
O  0.255  0.560  0.523
O  0.255  0.940  0.523
O  0.269  0.750  0.678
O  0.307  0.250  0.202
O  0.380  0.506  0.787
O  0.380  0.994  0.787
O  0.395  0.062  0.358
O  0.395  0.250  0.635
O  0.395  0.438  0.358
O  0.475  0.250  0.060
O  0.525  0.750  0.940
O  0.605  0.562  0.642
O  0.605  0.750  0.365
O  0.605  0.938  0.642
O  0.620  0.006  0.213
O  0.620  0.494  0.213
O  0.693  0.750  0.798
O  0.731  0.250  0.322
O  0.745  0.060  0.477
O  0.745  0.440  0.477
O  0.786  0.250  0.779
O  0.809  0.750  0.109
O  0.843  0.075  0.945
O  0.843  0.425  0.945
O  0.863  0.250  0.140
O  0.950  0.572  0.350
O  0.950  0.928  0.350

***

(9)
SrEuHfMnO6: simulated powder X-ray diffraction pattern (Cu Ka), based on a crystal structure in the Materials Project, relaxed with GGA+U.

Most intense lines, 15 to 90 degrees two-theta, by intensity:
2θ (°)	I (rel.)
31.4	1000
55.8	396
45.0	304
19.1	194
65.5	186
74.4	173
37.0	126
82.9	63
49.2	61
59.6	42

Lattice parameters (Å, degrees): 5.703 5.703 5.703 60.00 60.00 60.00
Fractional coordinates of all 10 atoms:
Sr  0.000  0.000  0.000
Eu  0.500  0.500  0.500
Hf  0.250  0.250  0.250
Mn  0.750  0.750  0.750
O  0.507  0.507  0.993
O  0.507  0.993  0.507
O  0.507  0.993  0.993
O  0.993  0.507  0.507
O  0.993  0.507  0.993
O  0.993  0.993  0.507